1.
For Pm4SbSe2S, the GGA-PBE geometry in Alexandria gives the calculated powder X-ray diffraction pattern in this record (λ = 1.5418 Å (Cu Kα)).

Most intense lines, 2θ = 10–90°, sorted by position:
2θ (°)	I (rel.)
29.78	100.0
42.47	12.2
42.61	48.9
42.80	12.2
52.72	12.7
53.00	12.8
61.86	11.6
70.13	20.8

Atomic structure:
a = 8.4865 Å, b = 8.4865 Å, c = 8.4865 Å
α = 120.28°, β = 119.79°, γ = 89.94°
Sites, in units of the cell vectors:
Pm  0.2584  0.2480  0.4896
Pm  0.2584  0.7688  0.0104
Pm  0.2603  0.2451  0.0151
Pm  0.2700  0.7549  0.5151
Pm  0.7300  0.2451  0.4849
Pm  0.7397  0.7549  0.9849
Pm  0.7416  0.2312  0.9896
Pm  0.7416  0.7520  0.5104
Sb  0.0000  0.5000  0.5000
Sb  0.5000  0.5000  0.0000
Se  0.0000  0.0000  0.0000
Se  0.0000  0.0000  0.5000
Se  0.0000  0.5000  0.0000
Se  0.5000  0.0000  0.5000
S  0.5000  0.0000  0.0000
S  0.5000  0.5000  0.5000

2.
For PmSc5S8, the GGA-PBE geometry in Alexandria gives the calculated powder X-ray diffraction pattern in this record (λ = 1.5418 Å (Cu Kα)).

Most intense lines, 2θ = 10–90°, sorted by position:
2θ (°)	I (rel.)
23.04	55.7
27.09	100.0
32.82	17.0
40.48	23.0
43.05	50.2
47.09	72.8
65.70	20.3
87.56	20.5

Atomic structure:
a = 7.7193 Å, b = 7.7193 Å, c = 7.7193 Å
α = 60.00°, β = 60.00°, γ = 60.00°
Sites, in units of the cell vectors:
Pm  0.0000  0.0000  0.0000
Sc  0.3775  0.3775  0.3775
Sc  0.3775  0.3775  0.8675
Sc  0.3775  0.8675  0.3775
Sc  0.7500  0.7500  0.7500
Sc  0.8675  0.3775  0.3775
S  0.1398  0.1398  0.1398
S  0.1398  0.1398  0.5808
S  0.1398  0.5808  0.1398
S  0.1442  0.6186  0.6186
S  0.5808  0.1398  0.1398
S  0.6186  0.1442  0.6186
S  0.6186  0.6186  0.1442
S  0.6186  0.6186  0.6186

3.
For PmSc2S4, the GGA-PBE geometry in Alexandria gives the calculated powder X-ray diffraction pattern in this record (λ = 1.5418 Å (Cu Kα)).

Most intense lines, 2θ = 10–90°, sorted by position:
2θ (°)	I (rel.)
16.06	73.3
25.54	94.6
25.82	39.9
33.20	100.0
35.44	81.0
43.61	45.2
48.61	48.0
49.56	33.4

Atomic structure:
a = 6.4043 Å, b = 6.4043 Å, c = 12.7282 Å
α = 90.00°, β = 90.00°, γ = 145.96°
Sites, in units of the cell vectors:
Pm  0.1212  0.8788  0.7500
Pm  0.8788  0.1212  0.2500
Sc  0.3713  0.6287  0.5643
Sc  0.3713  0.6287  0.9357
Sc  0.6287  0.3713  0.0643
Sc  0.6287  0.3713  0.4357
S  0.0000  0.0000  0.0000
S  0.0000  0.0000  0.5000
S  0.2708  0.7292  0.1160
S  0.2708  0.7292  0.3840
S  0.4508  0.5492  0.7500
S  0.5492  0.4508  0.2500
S  0.7292  0.2708  0.6160
S  0.7292  0.2708  0.8840

4.
For TbPm2ScS4, the GGA-PBE geometry in Alexandria gives the calculated powder X-ray diffraction pattern in this record (λ = 1.5418 Å (Cu Kα)).

Most intense lines, 2θ = 10–90°, sorted by position:
2θ (°)	I (rel.)
27.31	17.1
27.88	16.0
28.06	31.4
32.24	100.0
45.66	12.1
45.87	23.9
46.60	23.2
58.00	11.9

Atomic structure:
a = 6.7627 Å, b = 3.8780 Å, c = 6.9016 Å
α = 90.00°, β = 108.86°, γ = 90.00°
Sites, in units of the cell vectors:
Tb  0.0000  0.0000  0.0000
Pm  0.0000  0.5000  0.5000
Pm  0.5000  0.0000  0.5000
Sc  0.5000  0.5000  0.0000
S  0.2528  0.5000  0.2338
S  0.2659  0.0000  0.7722
S  0.7341  0.0000  0.2278
S  0.7472  0.5000  0.7662

5.
For Tb4PmScS8, the GGA-PBE geometry in Alexandria gives the calculated powder X-ray diffraction pattern in this record (λ = 1.5418 Å (Cu Kα)).

Most intense lines, 2θ = 10–90°, sorted by position:
2θ (°)	I (rel.)
13.48	26.0
22.10	15.4
25.99	100.0
27.19	14.0
31.46	34.4
41.27	31.3
45.03	31.1
45.17	31.1

Atomic structure:
a = 8.0539 Å, b = 8.0539 Å, c = 8.0539 Å
α = 59.80°, β = 59.80°, γ = 59.80°
Sites, in units of the cell vectors:
Tb  0.0000  0.0000  0.0000
Tb  0.3780  0.3780  0.8644
Tb  0.3780  0.8644  0.3780
Tb  0.8644  0.3780  0.3780
Pm  0.3783  0.3783  0.3783
Sc  0.7493  0.7493  0.7493
S  0.1274  0.6272  0.6272
S  0.1296  0.1296  0.6007
S  0.1296  0.6007  0.1296
S  0.1336  0.1336  0.1336
S  0.6007  0.1296  0.1296
S  0.6225  0.6225  0.6225
S  0.6272  0.1274  0.6272
S  0.6272  0.6272  0.1274

6.
For PmY2ScS6, the GGA-PBE geometry in Alexandria gives the calculated powder X-ray diffraction pattern in this record (λ = 1.5418 Å (Cu Kα)).

Most intense lines, 2θ = 10–90°, sorted by position:
2θ (°)	I (rel.)
17.76	49.8
24.48	100.0
25.94	81.3
29.82	56.2
35.97	54.1
39.41	98.9
44.88	51.0
45.76	63.8

Atomic structure:
a = 7.2983 Å, b = 7.2983 Å, c = 7.2983 Å
α = 56.15°, β = 56.15°, γ = 56.15°
Sites, in units of the cell vectors:
Pm  0.0000  0.0000  0.0000
Y  0.2926  0.2926  0.2926
Y  0.7978  0.7978  0.7978
Sc  0.4925  0.4925  0.4925
S  0.1044  0.6852  0.4057
S  0.2163  0.5934  0.8757
S  0.4057  0.1044  0.6852
S  0.5934  0.8757  0.2163
S  0.6852  0.4057  0.1044
S  0.8757  0.2163  0.5934